Entry 1:
Computed X-ray powder pattern
Compound: SrNbO3
Radiation: Cu Kα (λ = 1.5418 Å)
Structure: DFT lattice parameters and positions (PBE)
Lines closer than 0.1° are merged.

a b c (Å): 5.7407 5.7542 8.2289
angles (deg): 90.00 90.00 90.00
Space group P2_12_12 (No. 18)
Unique sites:
Sr1 0.0000 0.0000 0.0007 x2
Sr2 0.0000 0.0000 0.5026 x2
Nb1 0.0000 0.5000 0.2498 x2
Nb2 0.0000 0.5000 0.7500 x2
O1 0.0000 0.5000 0.9998 x2
O2 0.0000 0.5000 0.4999 x2
O3 0.2181 0.7812 0.2496 x4
O4 0.2182 0.7817 0.7501 x4

Largest 8 diffraction maxima, low angle first, 10 to 90 degrees two-theta:
index	d_spacing	2theta	I (rel.)
1 1 2	2.891	30.93	100
2 0 0	2.874	31.12	52
0 0 4	2.057	44.02	18
2 2 0	2.032	44.59	33
2 0 4	1.673	54.89	21
3 1 2	1.663	55.25	41
2 2 4	1.446	64.45	20
2 4 0	1.286	73.63	12

---

Entry 2:
Computed X-ray powder pattern
Compound: Er2MgSe4
Radiation: Cu Kα (λ = 1.5418 Å)
Structure: DFT lattice parameters and positions (PBE)
Lines closer than 0.1° are merged.

a b c (Å): 13.0849 3.9821 13.9242
angles (deg): 90.00 90.00 90.00
Space group Pnma (No. 62)
Unique sites:
Er1 0.1131 0.2500 0.0772 x4
Er2 0.1445 0.2500 0.7027 x4
Mg1 0.1172 0.7500 0.4389 x4
Se1 0.0168 0.7500 0.6123 x4
Se2 0.0327 0.2500 0.8815 x4
Se3 0.2181 0.2500 0.2548 x4
Se4 0.2439 0.2500 0.5162 x4

Largest 8 diffraction maxima, low angle first, 10 to 90 degrees two-theta:
index	d_spacing	2theta	I (rel.)
1 0 2	6.146	14.41	76
2 0 3	3.786	23.50	49
2 1 0	3.402	26.20	100
2 0 4	3.073	29.06	63
3 1 1	2.877	31.08	70
3 1 2	2.709	33.07	84
1 1 5	2.248	40.11	54
1 1 6	1.980	45.82	56